Entry 1:
Starting from a structure optimized by DFT (PBE), the X-ray powder pattern of Co3SnN was simulated for a wavelength of 1.5418 Å.
Neutral-atom scattering factors, no anomalous dispersion.

Atomic structure:
Cell lengths 9.982, 9.982, 9.982 Å; angles 90.00, 90.00, 90.00 degrees
Space group Fd-3m (No. 227, origin choice 2)
One atom of each set of equivalent atoms:
Co (0.065, 0.375, 0.375) x48
Sn (0.000, 0.000, 0.500) x16
N (0.000, 0.000, 0.000) x16

Main lines, in order of rising 2θ (2θ from 10° to 90°):
two_theta  Rel. int.  index
31.04  84.2  2 2 2
39.35  100.0  3 3 1
44.46  37.2  4 2 2
47.32  75.3  5 1 1
51.81  67.5  4 4 0
61.63  35.2  6 2 2

---

Entry 2:
Starting from a structure optimized by DFT (PBE), the X-ray powder pattern of Ac3Cu4Sn4 was simulated for a wavelength of 1.5418 Å.
Neutral-atom scattering factors, no anomalous dispersion.

Atomic structure:
```
data_Ac3Cu4Sn4
_chemical_formula_sum 'Ac3 Cu4 Sn4'
_space_group_name_H-M_alt 'P -1'
_space_group_IT_number 2
_space_group_name_Hall '-P 1'
_cell_length_a 4.627
_cell_length_b 4.636
_cell_length_c 13.457
_cell_angle_alpha 99.83
_cell_angle_beta 99.87
_cell_angle_gamma 90.00
loop_
_atom_site_label
_atom_site_fract_x
_atom_site_fract_y
_atom_site_fract_z
Ac1 0.000 0.000 0.000
Ac2 0.157 0.656 0.312
Cu1 0.250 0.251 0.500
Cu2 0.401 0.903 0.803
Sn1 0.301 0.802 0.604
Sn2 0.443 0.445 0.889
```

Main lines, in order of rising 2θ (2θ from 10° to 90°):
two_theta  Rel. int.  index
28.09  72.6  1 1 0
30.54  100.0  1 1 -3
30.79  90.4  1 0 3
36.53  53.1  0 1 -5
38.89  97.4  2 0 -1
50.36  34.6  1 2 2

---

Entry 3:
Starting from a structure optimized by DFT (PBE), the X-ray powder pattern of LaHoZn2Pb2 was simulated for a wavelength of 1.5418 Å.
Neutral-atom scattering factors, no anomalous dispersion.

Atomic structure:
```
data_LaHoZn2Pb2
_chemical_formula_sum 'La2 Ho2 Zn4 Pb4'
_space_group_name_H-M_alt 'P 63/m m c'
_space_group_IT_number 194
_space_group_name_Hall '-P 6c 2c'
_cell_length_a 4.6769
_cell_length_b 4.6769
_cell_length_c 16.3194
_cell_angle_alpha 90.00
_cell_angle_beta 90.00
_cell_angle_gamma 120.00
loop_
_atom_site_label
_atom_site_fract_x
_atom_site_fract_y
_atom_site_fract_z
La1 0.0000 0.0000 0.2500
Ho1 0.0000 0.0000 0.0000
Zn1 0.3333 0.6667 0.1584
Pb1 0.3333 0.6667 0.6058
```

Main lines, in order of rising 2θ (2θ from 10° to 90°):
two_theta  Rel. int.  index
27.45  44.9  1 0 3
31.11  100.0  1 0 4
38.50  73.6  1 1 0
44.86  24.8  1 0 7
50.30  26.4  2 0 4
65.08  24.3  2 1 4

---

Entry 4:
Starting from a structure optimized by DFT (PBE), the X-ray powder pattern of BaAgNO was simulated for a wavelength of 1.5418 Å.
Neutral-atom scattering factors, no anomalous dispersion.

Atomic structure:
```
data_BaAgNO
_chemical_formula_sum 'Ba4 Ag4 N4 O4'
_space_group_name_H-M_alt 'P c a 21'
_space_group_IT_number 29
_space_group_name_Hall 'P 2c -2ac'
_cell_length_a 6.574
_cell_length_b 7.700
_cell_length_c 5.764
_cell_angle_alpha 90.00
_cell_angle_beta 90.00
_cell_angle_gamma 90.00
loop_
_atom_site_label
_atom_site_fract_x
_atom_site_fract_y
_atom_site_fract_z
Ba1 0.063 0.183 0.000
Ag1 0.094 0.616 0.014
N1 0.174 0.491 0.691
O1 0.049 0.138 0.462
```

Main lines, in order of rising 2θ (2θ from 10° to 90°):
two_theta  Rel. int.  index
26.84  18.0  1 2 0
27.13  16.4  2 0 0
31.06  100.0  0 0 2
31.33  37.6  2 0 1
40.86  16.0  1 3 1
58.05  16.0  3 2 2

---

Entry 5:
Starting from a structure optimized by DFT (PBE), the X-ray powder pattern of Er2CBrF was simulated for a wavelength of 1.5418 Å.
Neutral-atom scattering factors, no anomalous dispersion.

Atomic structure:
```
data_Er2CBrF
_chemical_formula_sum 'Er2 C1 Br1 F1'
_space_group_name_H-M_alt 'P 3 m 1'
_space_group_IT_number 156
_space_group_name_Hall 'P 3 -2"'
_cell_length_a 3.6204
_cell_length_b 3.6204
_cell_length_c 8.2696
_cell_angle_alpha 90.00
_cell_angle_beta 90.00
_cell_angle_gamma 120.00
loop_
_atom_site_label
_atom_site_fract_x
_atom_site_fract_y
_atom_site_fract_z
Er1 0.0000 0.0000 0.0000
Er2 0.3333 0.6667 0.6791
C1 0.6667 0.3333 0.8465
Br1 0.3333 0.6667 0.2426
F1 0.0000 0.0000 0.5593
```

Main lines, in order of rising 2θ (2θ from 10° to 90°):
two_theta  Rel. int.  index
10.70  35.3  0 0 1
28.47  35.1  1 0 0
30.49  50.5  1 0 1
35.95  100.0  0 1 2
50.41  31.1  1 1 0
63.46  18.9  2 0 2

---

Entry 6:
Starting from a structure optimized by DFT (PBE), the X-ray powder pattern of Hf2InSbPt2 was simulated for a wavelength of 1.5418 Å.
Neutral-atom scattering factors, no anomalous dispersion.

Atomic structure:
```
data_Hf2InSbPt2
_chemical_formula_sum 'Hf8 In4 Sb4 Pt8'
_space_group_name_H-M_alt 'I -4 2 d'
_space_group_IT_number 122
_space_group_name_Hall 'I -4 2bw'
_cell_length_a 6.363
_cell_length_b 6.363
_cell_length_c 12.761
_cell_angle_alpha 90.00
_cell_angle_beta 90.00
_cell_angle_gamma 90.00
loop_
_atom_site_label
_atom_site_fract_x
_atom_site_fract_y
_atom_site_fract_z
Hf1 0.000 0.000 0.245
In1 0.000 0.000 0.000
Sb1 0.000 0.000 0.500
Pt1 0.244 0.250 0.625
```

Main lines, in order of rising 2θ (2θ from 10° to 90°):
two_theta  Rel. int.  index
24.21  41.5  1 1 2
40.04  100.0  2 2 0
47.37  14.1  3 1 2
57.98  11.3  4 0 0
72.66  11.4  2 2 8
72.78  22.9  4 2 4